Theoretical powder diffractogram
Compound: NdCo3Cu4O12
Radiation: Cu Kα
Structure: a crystal structure in Alexandria, relaxed with PBE+U
No peak broadening, texture or thermal motion is included.

Structural model:
```
data_NdCo3Cu4O12
_cell_length_a 7.363
_cell_length_b 7.363
_cell_length_c 7.363
_cell_angle_alpha 90.00
_cell_angle_beta 90.00
_cell_angle_gamma 90.00
_space_group_name_H-M_alt 'I m -3'
_space_group_IT_number 204
_space_group_name_Hall '-I 2 2 3'
loop_
_atom_site_label
_atom_site_type_symbol
_atom_site_fract_x
_atom_site_fract_y
_atom_site_fract_z
Nd1 Nd 0.000 0.000 0.000
Co1 Co 0.000 0.000 0.500
Cu1 Cu 0.250 0.250 0.250
O1 O 0.000 0.312 0.173
```

Principal peaks in the range 10° ≤ 2θ ≤ 90°, most intense first:
| d (Å) | 2θ/deg | Rel. int. | (hkl) |
| --- | --- | --- | --- |
| 2.603 | 34.45 | 100.0 | 2 2 0 |
| 1.503 | 61.72 | 46.5 | 4 2 2 |
| 1.841 | 49.52 | 23.8 | 4 0 0 |
| 1.164 | 82.93 | 16.1 | 6 2 0 |
| 1.302 | 72.64 | 11.7 | 4 4 0 |
| 5.207 | 17.03 | 10.3 | 1 1 0 |
| 2.328 | 38.67 | 9.4 | 3 0 1 |
| 1.968 | 46.13 | 8.8 | 3 1 2 |
| 3.006 | 29.72 | 3.6 | 2 1 1 |
| 1.444 | 64.53 | 2.7 | 4 3 1 |